CoB2H4C8N8O2: simulated XRD peak list (Cu Kα, 1.54184 Å), based on a PBE+U-relaxed structure.
Lines closer than 0.1° are merged.

Structure:
```
CoB2H4C8N8O2
1.0
-6.0335 6.0335 4.5498
6.0335 -6.0335 4.5498
6.0335 6.0335 -4.5498
Co B H C N O
2 4 8 16 16 4
Cartesian
0.0000 0.0000 0.0000
0.0000 6.0335 2.2749
3.0168 3.4627 -1.1375
8.6043 3.0168 1.1375
3.0168 2.5708 3.4124
-2.5708 3.0168 5.6873
6.7221 -0.4251 0.3398
5.3450 0.4251 0.3398
6.4586 5.3450 -1.9351
-0.4251 0.6886 2.6148
5.6085 -0.6886 4.2100
6.4586 0.6886 4.2100
5.3450 5.6085 1.9351
0.6886 0.4251 6.4849
4.1227 2.5075 -1.7349
4.3389 -2.3599 2.2700
8.3934 -1.6946 2.2798
1.9108 2.5075 -0.5400
9.5595 1.9108 0.5400
7.7281 3.6736 0.0049
3.6736 4.3389 -0.0049
3.6736 1.6946 2.2798
7.7281 2.3599 2.2700
3.5260 -1.9108 6.2847
1.9108 3.5260 2.8149
2.3599 1.6946 4.5450
-1.6946 2.3599 4.5547
4.1227 3.5260 4.0098
2.5075 7.9443 1.7349
-3.5260 4.1227 5.0899
7.8706 -1.1112 1.4213
10.3434 1.1435 0.1619
1.1435 1.7236 -0.1619
4.9223 -1.8371 3.1286
4.1964 1.1112 1.4213
7.1447 4.1964 -0.8536
7.1447 1.8371 3.1286
4.1964 4.9223 0.8536
-1.1112 1.8371 3.6962
1.1435 4.3099 2.4368
-1.7236 4.8900 2.1130
1.8371 1.1112 5.4035
1.7236 7.1771 2.1130
4.8900 4.3099 4.3879
-1.1435 7.7572 2.4368
-4.3099 4.8900 4.7117
0.0000 0.0000 2.0367
0.0000 6.0335 0.2382
0.0000 0.0000 7.0630
0.0000 6.0335 4.3116
```

Top 10 peaks for 2θ = 15–90°, in order of rising 2θ:
2theta, intensity
19.1, 66
20.8, 100
22.1, 68
24.2, 31
28.4, 67
30.6, 26
33.2, 35
33.9, 32
38.6, 24
42.4, 29